(1)
Calculated X-ray diffraction stick pattern
Compound: VO2
Radiation: Cu Kα (weighted mean of Kα1 and Kα2)
Structure: a structure optimized by DFT (GGA+U)
No peak broadening, texture or thermal motion is included.

Structural model:
```
VO2
1.0
5.0078 0.0000 0.0000
-1.8635 4.6590 0.0000
-0.1744 -0.2845 9.1602
V O
6 12
Direct
0.0000 0.0000 0.0000
0.0498 0.4200 0.2570
0.4179 0.0681 0.2530
0.4871 0.5118 0.4999
0.5556 0.9304 0.7520
0.9057 0.5605 0.7584
0.0917 0.7581 0.1607
0.1837 0.1945 0.3886
0.2280 0.9035 0.8785
0.2451 0.6046 0.6604
0.2925 0.2994 0.1227
0.3927 0.7406 0.3781
0.5817 0.2638 0.6552
0.6813 0.6963 0.8891
0.7214 0.3911 0.3706
0.7523 0.0954 0.1551
0.7870 0.8029 0.6229
0.8800 0.2329 0.8700
```

Main lines, in order of falling intensity (2θ = 10–90°):
21.16 deg, 4.199 Å, I = 100
29.03 deg, 3.076 Å, I = 52
38.19 deg, 2.356 Å, I = 33
46.73 deg, 1.944 Å, I = 23
46.85 deg, 1.939 Å, I = 22
19.38 deg, 4.580 Å, I = 18
51.36 deg, 1.779 Å, I = 13
63.60 deg, 1.463 Å, I = 12
57.30 deg, 1.608 Å, I = 11
68.94 deg, 1.362 Å, I = 6



(2)
Calculated X-ray diffraction stick pattern
Compound: V2O5
Radiation: Cu Kα (weighted mean of Kα1 and Kα2)
Structure: a structure optimized by DFT (GGA+U)
No peak broadening, texture or thermal motion is included.

Structural model:
```
V2O5
1.0
0.0000 9.8963 2.9094
4.9017 0.0000 2.9094
4.9017 9.8963 0.0000
V O
4 10
Direct
0.0015 0.9985 0.8457
0.0957 0.4043 0.2515
0.4043 0.0957 0.2485
0.9985 0.0015 0.1543
0.1119 0.1119 0.8881
0.1122 0.2856 0.1129
0.1371 0.7606 0.1378
0.2213 0.7990 0.3961
0.2856 0.1122 0.4894
0.3619 0.3619 0.1381
0.6664 0.8539 0.4510
0.7606 0.1371 0.9644
0.7990 0.2213 0.5836
0.8539 0.6664 0.0287
```

Main lines, in order of falling intensity (2θ = 10–90°):
18.29 deg, 4.851 Å, I = 100
25.58 deg, 3.482 Å, I = 49
28.76 deg, 3.104 Å, I = 25
22.30 deg, 3.987 Å, I = 17
35.89 deg, 2.502 Å, I = 12
52.18 deg, 1.753 Å, I = 11
38.95 deg, 2.312 Å, I = 10
52.57 deg, 1.741 Å, I = 10
31.73 deg, 2.820 Å, I = 10
17.93 deg, 4.948 Å, I = 10



(3)
Calculated X-ray diffraction stick pattern
Compound: VO2
Radiation: Cu Kα (weighted mean of Kα1 and Kα2)
Structure: a structure optimized by DFT (GGA+U)
No peak broadening, texture or thermal motion is included.

Structural model:
```
VO2
1.0
4.8764 0.0000 0.0000
0.9142 6.4320 0.0000
1.0989 0.8631 8.6489
V O
4 8
Direct
0.0286 0.3279 0.0166
0.3572 0.5097 0.2002
0.6428 0.4903 0.7998
0.9714 0.6721 0.9834
0.1942 0.7611 0.1093
0.2586 0.4946 0.8674
0.2800 0.2542 0.1568
0.2916 0.5151 0.3845
0.7084 0.4849 0.6155
0.7200 0.7458 0.8432
0.7414 0.5054 0.1326
0.8058 0.2389 0.8907
```

Main lines, in order of falling intensity (2θ = 10–90°):
10.23 deg, 8.649 Å, I = 100
13.84 deg, 6.400 Å, I = 78
22.16 deg, 4.011 Å, I = 24
29.30 deg, 3.048 Å, I = 10
16.39 deg, 5.408 Å, I = 7
35.09 deg, 2.557 Å, I = 5
38.21 deg, 2.356 Å, I = 5
25.48 deg, 3.496 Å, I = 5
44.18 deg, 2.050 Å, I = 5
27.51 deg, 3.243 Å, I = 4



Number 2 is which compound? V2O5